1.
The following is a simulated PXRD pattern of Tb7Pr12Sc. It was derived from DFT lattice parameters and positions (GGA-PBE), using a wavelength of 1.5418 Å.

Top 10 peaks for 10° ≤ 2θ ≤ 90°, low angle first:
28.35°, intensity 13
28.59°, intensity 42
29.94°, intensity 21
30.72°, intensity 12
30.98°, intensity 100
33.15°, intensity 48
35.22°, intensity 36
50.69°, intensity 19
55.09°, intensity 14
63.18°, intensity 21

Structure:
Lattice parameters (Å, degrees): 9.4598 9.4598 9.4598 107.69 107.69 107.69
Fractional coordinates of all 20 atoms:
Tb (0.0000, 0.0000, 0.0000)
Tb (0.1856, 0.6012, 0.4942)
Tb (0.3988, 0.5058, 0.8144)
Tb (0.4942, 0.1856, 0.6012)
Tb (0.5058, 0.8144, 0.3988)
Tb (0.6012, 0.4942, 0.1856)
Tb (0.8144, 0.3988, 0.5058)
Pr (0.0971, 0.2063, 0.4436)
Pr (0.1170, 0.8226, 0.2797)
Pr (0.1774, 0.7203, 0.8830)
Pr (0.2063, 0.4436, 0.0971)
Pr (0.2797, 0.1170, 0.8226)
Pr (0.4436, 0.0971, 0.2063)
Pr (0.5564, 0.9029, 0.7937)
Pr (0.7203, 0.8830, 0.1774)
Pr (0.7937, 0.5564, 0.9029)
Pr (0.8226, 0.2797, 0.1170)
Pr (0.8830, 0.1774, 0.7203)
Pr (0.9029, 0.7937, 0.5564)
Sc (0.5000, 0.5000, 0.5000)



2.
The following is a simulated PXRD pattern of RbTeP2S8. It was derived from DFT lattice parameters and positions (GGA-PBE), using a wavelength of 1.5418 Å.

Top 10 peaks for 10° ≤ 2θ ≤ 90°, low angle first:
20.53°, intensity 100
28.92°, intensity 25
29.47°, intensity 30
30.78°, intensity 23
33.96°, intensity 20
34.44°, intensity 51
36.19°, intensity 25
46.60°, intensity 26
47.34°, intensity 22
52.28°, intensity 27

Structure:
Lattice parameters (Å, degrees): 10.7638 10.7638 10.7638 32.71 32.71 32.71
Fractional coordinates of all 12 atoms:
Rb (0.0000, 0.0000, 0.0000)
Te (0.5000, 0.5000, 0.5000)
P (0.2396, 0.2396, 0.2396)
P (0.7604, 0.7604, 0.7604)
S (0.0978, 0.7995, 0.4413)
S (0.2005, 0.5587, 0.9022)
S (0.3048, 0.3048, 0.3048)
S (0.4413, 0.0978, 0.7995)
S (0.5587, 0.9022, 0.2005)
S (0.6952, 0.6952, 0.6952)
S (0.7995, 0.4413, 0.0978)
S (0.9022, 0.2005, 0.5587)